Starting from a structure optimized by DFT (PBE), the powder diffractogram of Ce4Zn3Au was computed for Cu Kα, 1.54184 Å.
Lines closer than 0.1° are merged.

Cell and atoms:
a b c (Å): 3.7182 3.7182 13.8666
angles (deg): 90.00 90.00 90.00
Positions (direct):
Ce: 0.0000 0.0000 0.1250
Ce: 0.0000 0.0000 0.3707
Ce: 0.0000 0.0000 0.6293
Ce: 0.0000 0.0000 0.8750
Zn: 0.5000 0.5000 0.0000
Zn: 0.5000 0.5000 0.2440
Zn: 0.5000 0.5000 0.7560
Au: 0.5000 0.5000 0.5000

Top 10 peaks for 2θ = 5–70°, by angle:
2θ 6.37, I 15; 2θ 24.79, I 4; 2θ 27.21, I 4; 2θ 30.86, I 4; 2θ 34.10, I 56; 2θ 35.40, I 100; 2θ 49.00, I 20; 2θ 52.81, I 9; 2θ 61.89, I 39; 2θ 64.38, I 18